Entry 1:
Starting from DFT lattice parameters and positions (PBE), the powder XRD pattern of KCOF3 was simulated for Cu Kα (weighted mean of Kα1 and Kα2).
Lines closer than 0.1° are merged.

```
24
Lattice="5.6020 0.0000 0.0000 0.0000 7.3959 0.0000 -0.0213 0.0000 8.6709" Properties=species:S:1:pos:R:3 pbc="T T T"
K 1.3720 1.1675 1.5522
K 1.3613 2.5304 5.8877
K 4.2194 4.8655 2.7832
K 4.2087 6.2284 7.1187
C 1.2685 5.1987 0.5769
C 1.2578 5.8952 4.9123
C 4.3229 1.5007 3.7586
C 4.3122 2.1973 8.0940
O 0.2657 5.1840 5.0477
O 0.2763 5.9099 0.7122
O 5.3044 1.4860 7.9587
O 5.3150 2.2120 3.6232
F 1.4399 4.1301 1.5218
F 1.4268 4.5361 8.0012
F 1.4374 6.5578 3.6658
F 1.4292 6.9638 5.8572
F 2.5574 5.2046 5.0465
F 2.5680 5.8893 0.7111
F 3.0127 1.5066 7.9598
F 3.0233 2.1913 3.6244
F 4.1514 0.4322 2.8137
F 4.1432 0.8382 5.0051
F 4.1539 2.8598 0.6697
F 4.1408 3.2658 7.1491
```

Largest 10 diffraction maxima, sorted by position, 10° ≤ 2θ ≤ 90°:
Position (°2θ)  intensity
24.07  40
25.99  100
26.20  34
28.70  87
30.75  85
31.95  42
40.23  57
41.35  53
41.73  31
42.86  39


Entry 2:
Starting from DFT lattice parameters and positions (PBE), the powder XRD pattern of K2Pb3C3O9F2 was simulated for Cu Kα (weighted mean of Kα1 and Kα2).
Lines closer than 0.1° are merged.

```
38
Lattice="5.3761 0.0000 0.0000 -2.6880 4.6558 0.0000 0.0000 0.0000 23.6209" Properties=species:S:1:pos:R:3 pbc="T T T"
K 0.0000 3.1039 3.6193
K 0.0000 3.1039 8.1911
K 2.6880 1.5519 15.4298
K 2.6880 1.5519 20.0015
Pb 0.0000 3.1039 12.9462
Pb 0.0000 3.1039 17.7157
Pb 0.0000 3.1039 22.4851
Pb 2.6880 1.5519 1.1358
Pb 2.6880 1.5519 5.9052
Pb 2.6880 1.5519 10.6747
C 0.0000 0.0000 1.5391
C 0.0000 0.0000 5.9052
C 0.0000 0.0000 10.2714
C 0.0000 0.0000 13.3495
C 0.0000 0.0000 17.7157
C 0.0000 0.0000 22.0818
O 0.0000 1.3035 1.5327
O 0.0000 1.3029 5.9052
O 0.0000 1.3035 10.2777
O -1.5591 4.0041 1.5327
O -1.5597 4.0044 5.9052
O -1.5591 4.0041 10.2777
O 1.1289 0.6518 13.3432
O 1.1283 0.6515 17.7157
O 1.1289 0.6518 22.0881
O 1.5591 4.0041 1.5327
O 1.5597 4.0044 5.9052
O 1.5591 4.0041 10.2777
O 4.2472 0.6518 13.3432
O 4.2477 0.6515 17.7157
O 4.2472 0.6518 22.0881
O 2.6880 3.3523 13.3432
O 2.6880 3.3529 17.7157
O 2.6880 3.3523 22.0881
F 0.0000 3.1039 15.2548
F 0.0000 3.1039 20.1765
F 2.6880 1.5519 3.4443
F 2.6880 1.5519 8.3661
```

Largest 10 diffraction maxima, sorted by position, 10° ≤ 2θ ≤ 90°:
Position (°2θ)  intensity
15.00  21
19.06  28
19.43  39
26.89  100
33.33  53
38.10  17
38.87  14
43.33  44
51.50  30
55.74  25


Entry 3:
Starting from DFT lattice parameters and positions (PBE), the powder XRD pattern of K2RbCO3F was simulated for Cu Kα (weighted mean of Kα1 and Kα2).
Lines closer than 0.1° are merged.

```
16
Lattice="6.0404 -3.8250 0.0000 6.0404 3.8250 0.0000 -3.6684 0.0000 6.2056" Properties=species:S:1:pos:R:3 pbc="T T T"
K 0.0000 0.0000 0.0000
K 1.3427 1.1484 3.5139
K 7.0698 1.1484 2.6917
K 4.2062 -1.0181 3.1028
Rb 3.1717 1.6494 0.3982
Rb 5.2407 1.6494 5.8074
C 4.2062 3.3209 3.1028
C 6.0404 -0.5089 0.0000
O -1.4311 0.1584 4.1619
O 4.2062 2.0080 3.1028
O 6.0404 0.8033 0.0000
O 1.9881 -1.1635 5.1342
O 6.4244 -1.1635 1.0714
O 9.8435 0.1584 2.0437
F 2.0633 -0.5182 1.6135
F 6.3491 -0.5182 4.5921
```

Largest 10 diffraction maxima, sorted by position, 10° ≤ 2θ ≤ 90°:
Position (°2θ)  intensity
28.22  70
28.77  41
28.98  91
31.72  100
34.28  97
34.50  44
36.12  45
36.26  55
49.85  40
50.89  38